Record 1
The following is a calculated XRD peak list of Rb2CuBr3Cl. It was derived from DFT lattice parameters and positions (PBE), using Cu Kα (λ = 1.5418 Å).
Lines closer than 0.1° are merged.

Principal peaks in the range 15° ≤ 2θ ≤ 90°, in order of falling intensity:
- hkl 1 1 4, 2θ = 32.42°, I = 1000
- hkl 1 1 0, 2θ = 24.36°, I = 738
- hkl 0 0 6, 2θ = 31.82°, I = 525
- hkl 2 2 6, 2θ = 60.42°, I = 524
- hkl 0 2 0, 2θ = 34.39°, I = 498
- hkl 2 0 0, 2θ = 35.04°, I = 472
- hkl 2 2 0, 2θ = 49.92°, I = 376
- hkl 0 2 6, 2θ = 47.55°, I = 330

Structural model:
Unit cell a=5.122 b=5.215 c=16.865 alpha=90.00 beta=90.00 gamma=90.00
Space group Immm (No. 71)
Symmetry-distinct sites (fractional):
Rb1 0.000 0.000 0.137 [4 per cell]
Cu1 0.000 0.000 0.500 [2 per cell]
Br1 0.000 0.000 0.349 [4 per cell]
Br2 0.000 0.500 0.500 [2 per cell]
Cl1 0.000 0.500 0.000 [2 per cell]


Record 2
The following is a calculated XRD peak list of Tl5CuBr2Cl4. It was derived from DFT lattice parameters and positions (PBE), using Cu Kα (λ = 1.5418 Å).
Lines closer than 0.1° are merged.

Principal peaks in the range 15° ≤ 2θ ≤ 90°, in order of falling intensity:
- hkl 2 2 2, 2θ = 33.48°, I = 1000
- hkl 0 3 1, 2θ = 26.63°, I = 863
- hkl 2 5 1, 2θ = 46.66°, I = 713
- hkl 2 1 1, 2θ = 23.14°, I = 702
- hkl 2 0 2, 2θ = 29.20°, I = 515
- hkl 2 2 0, 2θ = 24.60°, I = 393
- hkl 0 0 2, 2θ = 22.36°, I = 370
- hkl 2 5 3, 2θ = 57.59°, I = 327

Structural model:
Unit cell a=9.564 b=11.068 c=7.953 alpha=90.00 beta=90.00 gamma=90.00
Space group Amm2 (No. 38)
Symmetry-distinct sites (fractional):
Tl1 0.000 0.000 0.000 [2 per cell]
Tl2 0.272 0.193 0.435 [8 per cell]
Cu1 0.500 0.000 0.950 [2 per cell]
Br1 0.000 0.215 0.713 [4 per cell]
Cl1 0.308 0.000 0.133 [4 per cell]
Cl2 0.500 0.161 0.754 [4 per cell]


Record 3
The following is a calculated XRD peak list of Tl3Cu2Br2Cl4. It was derived from DFT lattice parameters and positions (PBE), using Cu Kα (λ = 1.5418 Å).
Lines closer than 0.1° are merged.

Principal peaks in the range 15° ≤ 2θ ≤ 90°, in order of falling intensity:
- hkl 1 0 5, 2θ = 24.82°, I = 1000
- hkl 1 1 0, 2θ = 26.50°, I = 968
- hkl 1 1 6, 2θ = 33.11°, I = 821
- hkl 2 0 0, 2θ = 37.83°, I = 731
- hkl 2 1 5, 2θ = 45.78°, I = 401
- hkl 1 1 10, 2θ = 42.63°, I = 380
- hkl 1 0 17, 2θ = 60.84°, I = 358
- hkl 1 0 7, 2θ = 29.61°, I = 309

Structural model:
Unit cell a=4.756 b=4.756 c=27.323 alpha=90.00 beta=90.00 gamma=90.00
Space group I4/mmm (No. 139)
Symmetry-distinct sites (fractional):
Tl1 0.000 0.000 0.000 [2 per cell]
Tl2 0.000 0.000 0.180 [4 per cell]
Cu1 0.000 0.000 0.400 [4 per cell]
Br1 0.000 0.000 0.304 [4 per cell]
Cl1 0.000 0.500 0.084 [8 per cell]


Record 4
The following is a calculated XRD peak list of DyBrCl2. It was derived from DFT lattice parameters and positions (PBE), using Cu Kα (λ = 1.5418 Å).
Lines closer than 0.1° are merged.

Principal peaks in the range 15° ≤ 2θ ≤ 90°, in order of falling intensity:
- hkl 1 1 0, 2θ = 15.06°, I = 1000
- hkl 0 2 1, 2θ = 20.90°, I = 579
- hkl 1 3 1, 2θ = 33.07°, I = 573
- hkl 2 0 -2, 2θ = 28.14°, I = 345
- hkl 3 3 -1, 2θ = 42.22°, I = 227
- hkl 3 1 -2, 2θ = 36.99°, I = 221
- hkl 1 1 -1, 2θ = 15.91°, I = 190
- hkl 1 3 -3, 2θ = 45.66°, I = 184

Structural model:
Unit cell a=7.757 b=11.654 c=7.073 alpha=90.00 beta=118.56 gamma=90.00
Space group Cc (No. 9)
Symmetry-distinct sites (fractional):
Dy1 0.000 0.091 0.000 [4 per cell]
Br1 0.228 0.083 0.789 [4 per cell]
Cl1 0.242 0.252 0.254 [4 per cell]
Cl2 0.294 0.433 0.709 [4 per cell]


Record 5
The following is a calculated XRD peak list of BrClF. It was derived from DFT lattice parameters and positions (PBE), using Cu Kα (λ = 1.5418 Å).
Lines closer than 0.1° are merged.

Principal peaks in the range 15° ≤ 2θ ≤ 90°, in order of falling intensity:
- hkl 1 1 0, 2θ = 26.05°, I = 1000
- hkl 1 0 1, 2θ = 22.28°, I = 627
- hkl 1 0 3, 2θ = 42.74°, I = 402
- hkl 2 0 0, 2θ = 37.17°, I = 367
- hkl 2 1 3, 2θ = 57.91°, I = 308
- hkl 2 1 1, 2θ = 43.76°, I = 211
- hkl 3 1 0, 2θ = 60.52°, I = 157
- hkl 2 2 0, 2θ = 53.58°, I = 116

Structural model:
Unit cell a=4.838 b=4.838 c=7.058 alpha=90.00 beta=90.00 gamma=90.00
Space group I4mm (No. 107)
Symmetry-distinct sites (fractional):
Br1 0.000 0.000 0.000 [2 per cell]
Cl1 0.000 0.000 0.680 [2 per cell]
F1 0.000 0.000 0.274 [2 per cell]


Record 6
The following is a calculated XRD peak list of BrCl3F. It was derived from DFT lattice parameters and positions (PBE), using Cu Kα (λ = 1.5418 Å).
Lines closer than 0.1° are merged.

Principal peaks in the range 15° ≤ 2θ ≤ 90°, in order of falling intensity:
- hkl 1 1 -1, 2θ = 23.93°, I = 1000
- hkl 1 0 0, 2θ = 17.63°, I = 143
- hkl 0 2 2, 2θ = 32.49°, I = 130
- hkl 0 2 0, 2θ = 26.29°, I = 121
- hkl 0 0 2, 2θ = 18.76°, I = 117
- hkl 0 1 5, 2θ = 50.04°, I = 86
- hkl 1 2 -1, 2θ = 33.24°, I = 83
- hkl 2 0 -2, 2θ = 40.55°, I = 76

Structural model:
Unit cell a=5.032 b=6.781 c=9.462 alpha=90.00 beta=90.22 gamma=90.00
Space group Pc (No. 7)
Symmetry-distinct sites (fractional):
Br1 0.000 0.212 0.000 [2 per cell]
Cl1 0.112 0.383 0.197 [2 per cell]
Cl2 0.480 0.236 0.424 [2 per cell]
Cl3 0.670 0.165 0.603 [2 per cell]
F1 0.916 0.076 0.821 [2 per cell]


Record 7
The following is a calculated XRD peak list of BrCl12F6. It was derived from DFT lattice parameters and positions (PBE), using Cu Kα (λ = 1.5418 Å).
Lines closer than 0.1° are merged.

Principal peaks in the range 15° ≤ 2θ ≤ 90°, in order of falling intensity:
- hkl 0 1 -3, 2θ = 26.65°, I = 1000
- hkl 0 2 1, 2θ = 26.33°, I = 910
- hkl 1 -1 0, 2θ = 16.31°, I = 273
- hkl 1 0 0, 2θ = 15.79°, I = 176
- hkl 1 1 1, 2θ = 27.17°, I = 175
- hkl 0 4 -5, 2θ = 47.28°, I = 141
- hkl -1 2 1, 2θ = 25.97°, I = 141
- hkl 1 2 -1, 2θ = 24.76°, I = 131

Structural model:
Unit cell a=5.992 b=10.324 c=10.507 alpha=116.23 beta=104.02 gamma=96.87
Space group P-1 (No. 2)
Symmetry-distinct sites (fractional):
Br1 0.000 0.000 0.000 [1 per cell]
Cl1 0.142 0.907 0.165 [2 per cell]
Cl2 0.158 0.138 0.740 [2 per cell]
Cl3 0.166 0.748 0.582 [2 per cell]
Cl4 0.179 0.326 0.439 [2 per cell]
Cl5 0.207 0.491 0.175 [2 per cell]
Cl6 0.493 0.416 0.128 [2 per cell]
F1 0.142 0.551 0.824 [2 per cell]
F2 0.376 0.174 0.666 [2 per cell]
F3 0.495 0.285 0.400 [2 per cell]


Record 8
The following is a calculated XRD peak list of Tl3BrClF. It was derived from DFT lattice parameters and positions (PBE), using Cu Kα (λ = 1.5418 Å).
Lines closer than 0.1° are merged.

Principal peaks in the range 15° ≤ 2θ ≤ 90°, in order of falling intensity:
- hkl 2 1 -1, 2θ = 28.60°, I = 1000
- hkl 0 1 2, 2θ = 26.69°, I = 540
- hkl 0 0 3, 2θ = 27.07°, I = 351
- hkl 2 0 1, 2θ = 24.52°, I = 338
- hkl 2 0 -3, 2θ = 30.20°, I = 324
- hkl 0 2 0, 2θ = 39.83°, I = 256
- hkl 2 1 -4, 2θ = 42.72°, I = 201
- hkl 0 1 1, 2θ = 21.59°, I = 194

Structural model:
Unit cell a=8.798 b=4.527 c=10.164 alpha=90.00 beta=103.44 gamma=90.00
Space group P2_1/m (No. 11)
Symmetry-distinct sites (fractional):
Tl1 0.021 0.250 0.306 [2 per cell]
Tl2 0.302 0.250 0.961 [2 per cell]
Tl3 0.464 0.750 0.647 [2 per cell]
Br1 0.254 0.750 0.221 [2 per cell]
Cl1 0.199 0.250 0.595 [2 per cell]
F1 0.427 0.750 0.884 [2 per cell]